# 1
The following is a calculated powder diffraction line list of Pm3Sm2Y6Tm. It was derived from a DFT-relaxed cell (PBE, Alexandria), using Cu Kα X-rays.
Kinematic intensities with the Lorentz-polarization factor, no thermal factor.

Top 10 peaks for 5 to 70 degrees two-theta, most intense first:
two_theta  d_spacing  intensity  h k l
30.5  2.934  100  1 3 1
35.4  2.539  67  2 0 2
30.6  2.922  33  0 0 4
50.8  1.798  24  0 6 0
51.0  1.792  23  1 3 5
60.4  1.533  23  4 0 0
60.5  1.531  19  0 6 4
60.6  1.528  14  2 0 6
63.4  1.467  12  2 6 2
15.2  5.844  10  0 0 2

Cell and atoms:
abc: 6.2296 10.7845 11.8702
angles: 90.00 100.03 90.00
Space group C2/m (No. 12)
Inequivalent atoms, fractional coordinates:
Pm 0.0000 0.0000 0.0000
Pm 0.0000 0.3333 0.0000
Sm 0.0000 0.1664 0.5000
Y 0.2490 0.3336 0.7484
Y 0.2502 0.0000 0.7488
Tm 0.0000 0.5000 0.5000

---

# 2
The following is a calculated powder diffraction line list of KNaS14. It was derived from a DFT-relaxed cell (PBE, Alexandria), using Cu Kα X-rays.
Kinematic intensities with the Lorentz-polarization factor, no thermal factor.

Top 10 peaks for 5 to 70 degrees two-theta, most intense first:
two_theta  d_spacing  intensity  h k l
18.8  4.724  100  4 0 -2
20.2  4.395  98  1 1 2
34.3  2.612  43  4 2 -4
16.6  5.332  42  1 1 -2
14.4  6.171  42  0 0 2
28.7  3.116  39  2 2 -3
27.4  3.256  29  3 1 2
39.4  2.286  26  5 3 -2
25.8  3.457  25  2 2 1
27.0  3.302  25  5 1 -3

Cell and atoms:
abc: 19.6901 8.4599 13.8215
angles: 90.00 116.75 90.00
Space group C2/c (No. 15)
Inequivalent atoms, fractional coordinates:
K 0.0000 0.0411 0.2500
Na 0.0000 0.5000 0.0000
S 0.0518 0.3476 0.7511
S 0.0718 0.3236 0.4113
S 0.1260 0.4851 0.8942
S 0.1406 0.0445 0.6488
S 0.1600 0.1768 0.0969
S 0.1739 0.3270 0.2232
S 0.2197 0.2004 0.6460

---

# 3
The following is a calculated powder diffraction line list of NaMn2CuS4. It was derived from a DFT-relaxed cell (PBE, Alexandria), using Cu Kα X-rays.
Kinematic intensities with the Lorentz-polarization factor, no thermal factor.

Top 10 peaks for 5 to 70 degrees two-theta, most intense first:
two_theta  d_spacing  intensity  h k l
26.2  3.403  100  2 1 0
29.7  3.010  93  2 1 1
27.7  3.226  92  0 0 2
50.2  1.818  74  2 1 3
46.8  1.942  69  2 3 0
26.7  3.344  55  0 2 0
55.2  1.664  49  2 3 2
17.7  4.999  41  1 0 1
30.1  2.969  40  0 2 1
45.9  1.977  38  4 0 0

Cell and atoms:
abc: 7.9069 6.6885 6.4519
angles: 90.00 90.00 90.00
Space group Pmn2_1 (No. 31)
Inequivalent atoms, fractional coordinates:
Na 0.0000 0.1695 0.0000
Mn 0.2482 0.3353 0.4925
Cu 0.0000 0.8191 0.5014
S 0.0000 0.1547 0.4334
S 0.0000 0.7816 0.8546
S 0.2162 0.6472 0.3459